RbPaTeS: calculated X-ray diffraction stick pattern (Cu Ka), based on a crystal structure in Alexandria, relaxed with GGA-PBE.

Peak list (8 most intense, 10° ≤ 2θ ≤ 80°, in order of rising 2θ)
10.43 deg, I = 62, (0 0 3)
24.73 deg, I = 25, (1 0 1)
25.48 deg, I = 38, (0 1 2)
28.27 deg, I = 24, (1 0 4)
30.21 deg, I = 100, (0 1 5)
34.90 deg, I = 27, (1 0 7)
43.09 deg, I = 41, (1 1 0)
43.41 deg, I = 29, (1 0 10)

```
data_RbPaTeS
_chemical_formula_sum 'Rb3 Pa3 Te3 S3'
_space_group_name_H-M_alt 'R 3 m'
_space_group_IT_number 160
_space_group_name_Hall 'R 3 -2"'
_cell_length_a 4.1986
_cell_length_b 4.1986
_cell_length_c 25.4410
_cell_angle_alpha 90.00
_cell_angle_beta 90.00
_cell_angle_gamma 120.00
loop_
_atom_site_label
_atom_site_type_symbol
_atom_site_fract_x
_atom_site_fract_y
_atom_site_fract_z
_atom_site_occupancy
Rb1 Rb 0.0000 0.0000 0.0000 1
Pa1 Pa 0.0000 0.0000 0.8150 1
Te1 Te 0.0000 0.0000 0.2257 1
S1 S 0.0000 0.0000 0.4246 1
```